No. 1
Na2GeTeO6: simulated X-ray diffraction stick pattern (Cu Ka), based on DFT lattice parameters and positions (GGA-PBE).

Structural model:
```
Na2GeTeO6
1.0
5.184 0.000 0.000
-2.592 4.490 0.000
0.000 0.000 10.822
Na Ge Te O
4 2 2 12
Cartesian
0.000 2.993 0.437 Na
0.000 2.993 4.974 Na
2.592 1.497 5.848 Na
2.592 1.497 10.385 Na
0.000 2.993 8.117 Ge
2.592 1.497 2.706 Ge
0.000 0.000 2.706 Te
0.000 0.000 8.117 Te
-0.592 1.521 9.221 O
-1.571 3.217 7.013 O
0.592 1.521 7.013 O
-0.979 4.241 9.221 O
1.613 0.248 3.810 O
1.021 1.273 1.601 O
1.571 3.217 9.221 O
0.979 4.241 7.013 O
3.571 0.248 1.601 O
2.000 2.969 3.810 O
4.163 1.273 3.810 O
3.184 2.969 1.601 O
```

Largest 10 diffraction maxima, sorted by position, 2θ = 10–90°:
Position (°2θ)  I/Imax
16.38  1000
19.78  260
21.43  425
25.78  696
31.82  267
34.61  547
38.51  513
48.65  688
62.01  217
62.76  240

---

No. 2
MgNbTlO3: simulated X-ray diffraction stick pattern (Cu Ka), based on DFT lattice parameters and positions (GGA-PBE).

Structural model:
```
MgNbTlO3
1.0
4.174 0.000 0.000
0.000 4.174 0.000
0.000 0.000 5.094
Mg Nb Tl O
1 1 1 3
Cartesian
0.000 0.000 0.000 Mg
2.087 2.087 0.000 Nb
0.000 0.000 2.547 Tl
0.000 2.087 0.000 O
2.087 0.000 0.000 O
2.087 2.087 2.547 O
```

Largest 10 diffraction maxima, sorted by position, 2θ = 10–90°:
Position (°2θ)  I/Imax
21.29  176
27.63  1000
30.28  578
35.20  427
43.35  318
47.13  362
52.19  360
57.05  274
74.26  149
82.26  140

---

No. 3
Zr2N2O: simulated X-ray diffraction stick pattern (Cu Ka), based on DFT lattice parameters and positions (GGA-PBE).

Structural model:
```
Zr2N2O
1.0
4.769 -2.810 0.000
4.769 2.810 0.000
-3.262 0.000 4.948
Zr N O
4 4 2
Cartesian
-0.009 1.343 4.216 Zr
3.138 1.505 2.474 Zr
1.622 -1.343 1.741 Zr
4.769 -1.505 0.000 Zr
1.890 0.559 0.854 N
0.259 -0.559 3.328 N
8.038 0.261 0.943 N
6.407 -0.261 3.417 N
4.757 0.537 0.814 O
3.126 -0.537 3.288 O
```

Largest 10 diffraction maxima, sorted by position, 2θ = 10–90°:
Position (°2θ)  I/Imax
30.27  570
30.47  1000
31.85  447
32.36  898
44.51  415
45.57  186
49.05  305
55.90  188
56.29  206
57.07  274

---

No. 4
CeNiSn: simulated X-ray diffraction stick pattern (Cu Ka), based on DFT lattice parameters and positions (GGA-PBE).

Structural model:
```
CeNiSn
1.0
10.616 0.000 0.000
0.000 4.241 0.000
-4.540 0.000 5.662
Ce Ni Sn
4 4 4
Cartesian
-0.882 0.000 1.908 Ce
1.650 2.121 3.754 Ce
4.426 2.121 1.908 Ce
6.958 0.000 3.754 Ce
-1.537 2.121 3.900 Ni
2.305 0.000 1.762 Ni
3.771 0.000 3.900 Ni
7.612 2.121 1.762 Ni
1.407 2.121 0.507 Sn
-0.639 0.000 5.155 Sn
6.715 0.000 0.507 Sn
4.669 2.121 5.155 Sn
```

Largest 10 diffraction maxima, sorted by position, 2θ = 10–90°:
Position (°2θ)  I/Imax
32.03  394
33.28  617
33.72  1000
33.88  286
34.09  485
34.92  306
38.07  320
38.93  700
42.63  499
55.68  243

---

No. 5
In2O3: simulated X-ray diffraction stick pattern (Cu Ka), based on DFT lattice parameters and positions (GGA-PBE).

Structural model:
```
In2O3
1.0
8.545 0.000 0.000
0.000 3.187 0.000
0.000 0.000 8.888
In O
8 12
Cartesian
0.069 0.797 1.662 In
1.582 0.797 4.554 In
2.691 2.391 0.110 In
4.203 2.391 6.106 In
4.342 0.797 2.782 In
5.854 0.797 8.778 In
6.963 2.391 4.334 In
8.476 2.391 7.226 In
0.458 2.391 3.306 O
0.964 0.797 8.343 O
1.915 2.391 6.041 O
2.358 0.797 1.597 O
3.309 2.391 3.899 O
3.814 0.797 7.750 O
4.731 2.391 1.138 O
5.237 0.797 4.988 O
6.187 2.391 7.291 O
6.630 0.797 2.847 O
7.581 2.391 0.544 O
8.087 0.797 5.582 O
```

Largest 10 diffraction maxima, sorted by position, 2θ = 10–90°:
Position (°2θ)  I/Imax
28.99  1000
29.78  383
31.60  498
31.97  621
33.02  654
36.24  448
36.60  384
40.74  293
43.00  472
62.75  285

---

No. 6
ZrAs: simulated X-ray diffraction stick pattern (Cu Ka), based on DFT lattice parameters and positions (GGA-PBE).

Structural model:
```
ZrAs
1.0
3.838 0.000 0.000
-1.919 3.324 0.000
0.000 0.000 13.007
Zr As
4 4
Cartesian
0.000 2.216 1.513 Zr
0.000 2.216 4.991 Zr
1.919 1.108 8.016 Zr
1.919 1.108 11.495 Zr
0.000 0.000 0.000 As
0.000 0.000 6.504 As
0.000 2.216 9.755 As
1.919 1.108 3.252 As
```

Largest 10 diffraction maxima, sorted by position, 2θ = 10–90°:
Position (°2θ)  I/Imax
30.20  392
33.98  1000
38.74  296
44.21  257
47.37  571
50.25  176
56.61  99
59.57  190
76.84  238
79.41  162

---

No. 7
Cs4MnAs2S8: simulated X-ray diffraction stick pattern (Cu Ka), based on DFT lattice parameters and positions (GGA-PBE).

Structural model:
```
Cs4MnAs2S8
1.0
9.602 0.000 0.000
-0.128 9.762 0.000
-2.924 -3.080 10.778
Cs Mn As S
8 2 4 16
Cartesian
-0.140 3.897 2.696 Cs
2.165 0.036 0.473 Cs
1.062 0.396 9.441 Cs
2.401 1.016 5.225 Cs
4.150 5.665 5.553 Cs
5.488 6.285 1.337 Cs
4.386 6.645 10.305 Cs
6.691 2.784 8.082 Cs
-0.352 6.639 6.172 Mn
6.902 0.043 4.606 Mn
-0.495 7.828 3.015 As
1.192 4.448 8.123 As
5.359 2.234 2.655 As
7.045 -1.146 7.763 As
-2.619 -0.354 9.781 S
-0.665 0.241 3.002 S
-0.911 -0.308 6.562 S
0.125 4.104 6.227 S
1.245 7.264 4.228 S
-0.012 3.760 9.804 S
1.440 6.654 8.050 S
3.428 3.255 2.571 S
3.123 3.427 8.207 S
5.110 0.028 2.728 S
6.562 2.921 0.974 S
5.306 -0.582 6.550 S
6.425 2.578 4.551 S
7.461 6.989 4.216 S
7.216 6.441 7.776 S
9.170 7.036 0.997 S
```

Largest 10 diffraction maxima, sorted by position, 2θ = 10–90°:
Position (°2θ)  I/Imax
20.70  1000
21.11  832
22.83  515
23.57  539
26.78  494
26.94  811
28.56  592
28.96  694
29.33  615
40.06  568

---

No. 8
LuInPt: simulated X-ray diffraction stick pattern (Cu Ka), based on DFT lattice parameters and positions (GGA-PBE).

Structural model:
```
LuInPt
1.0
7.651 0.000 0.000
-3.826 6.626 0.000
0.000 0.000 3.767
Lu In Pt
3 3 3
Cartesian
-2.275 3.940 0.000 Lu
1.551 2.686 0.000 Lu
4.549 0.000 0.000 Lu
-1.005 1.741 1.884 In
2.010 0.000 1.884 In
2.821 4.886 1.884 In
0.000 0.000 0.000 Pt
0.000 4.417 1.884 Pt
3.826 2.209 1.884 Pt
```

Largest 10 diffraction maxima, sorted by position, 2θ = 10–90°:
Position (°2θ)  I/Imax
33.38  862
35.86  347
36.10  1000
40.86  549
43.39  362
48.32  239
61.61  141
65.08  279
66.30  367
76.15  139